No. 1
Diffraction record for YEr2Ni9. The powder X-ray diffraction pattern is calculated, not measured: it uses a cell relaxed with GGA-PBE and Cu Kα (weighted mean of Kα1 and Kα2).

Principal peaks in the range 2θ = 10–90°, by angle:
8.066 Å, I 194, hkl 0 0 2
2.579 Å, I 762, hkl 1 0 5
2.478 Å, I 557, hkl 1 1 0
2.127 Å, I 338, hkl 2 0 1
2.111 Å, I 1000, hkl 1 1 4
2.030 Å, I 292, hkl 1 0 7
1.993 Å, I 421, hkl 2 0 3
1.449 Å, I 250, hkl 2 1 5
1.348 Å, I 220, hkl 3 0 4
1.239 Å, I 244, hkl 2 2 0

```
data_YEr2Ni9
_chemical_formula_sum 'Y2 Er4 Ni18'
_cell_length_a 4.9560
_cell_length_b 4.9560
_cell_length_c 16.1329
_cell_angle_alpha 90.00
_cell_angle_beta 90.00
_cell_angle_gamma 120.00
_symmetry_space_group_name_H-M 'P 63/m m c'
_symmetry_Int_Tables_number 194
_symmetry_space_group_name_Hall '-P 6c 2c'
loop_
_atom_site_label
_atom_site_fract_x
_atom_site_fract_y
_atom_site_fract_z
_atom_site_occupancy
Y1 0.3333 0.6667 0.2500 1
Er1 0.3333 0.6667 0.0413 1
Ni1 0.0000 0.0000 0.0000 1
Ni2 0.0000 0.0000 0.2500 1
Ni3 0.1673 0.3347 0.6259 1
Ni4 0.3333 0.6667 0.7500 1
```


No. 2
Diffraction record for Y2Er3Ni4. The powder X-ray diffraction pattern is calculated, not measured: it uses a cell relaxed with GGA-PBE and Cu Kα (weighted mean of Kα1 and Kα2).

Principal peaks in the range 2θ = 10–90°, by angle:
5.027 Å, I 289, hkl 1 1 0
3.227 Å, I 272, hkl 0 2 1
2.975 Å, I 372, hkl 2 0 -2
2.666 Å, I 740, hkl 1 1 2
2.545 Å, I 1000, hkl 2 2 -1
2.514 Å, I 609, hkl 2 2 0
2.359 Å, I 665, hkl 1 1 -3
2.332 Å, I 289, hkl 3 0 0
2.284 Å, I 525, hkl 0 3 1
2.232 Å, I 465, hkl 1 3 -1

```
data_Y2Er3Ni4
_chemical_formula_sum 'Y4 Er6 Ni8'
_cell_length_a 7.3155
_cell_length_b 7.2287
_cell_length_c 7.4952
_cell_angle_alpha 90.00
_cell_angle_beta 106.98
_cell_angle_gamma 90.00
_symmetry_space_group_name_H-M 'P 1 21/c 1'
_symmetry_Int_Tables_number 14
loop_
_symmetry_equiv_pos_as_xyz
'x,y,z'
'-x,-y,-z'
'-x,y+1/2,-z+1/2'
'x,-y+1/2,z+1/2'
loop_
_atom_site_label
_atom_site_fract_x
_atom_site_fract_y
_atom_site_fract_z
_atom_site_occupancy
Y1 0.1996 0.1786 0.0941 1
Er1 0.2370 0.6706 0.2508 1
Er2 0.5000 0.0000 0.5000 1
Ni1 0.0892 0.5298 0.8817 1
Ni2 0.5001 0.1191 0.8836 1
```